1.
Computed X-ray powder pattern of CoO for copper Kα, from a crystal structure in OQMD, relaxed with GGA+U.
Intensities are scaled so that the largest is 100.

Structure:
a = 5.595 Å, b = 5.595 Å, c = 5.595 Å
α = 90.00°, β = 90.00°, γ = 90.00°
Fractional coordinates of all 12 atoms:
Co (0.000, 0.250, 0.500)
Co (0.000, 0.750, 0.500)
Co (0.250, 0.500, 0.000)
Co (0.500, 0.000, 0.250)
Co (0.500, 0.000, 0.750)
Co (0.750, 0.500, 0.000)
O (0.000, 0.500, 0.250)
O (0.000, 0.500, 0.750)
O (0.250, 0.000, 0.500)
O (0.500, 0.250, 0.000)
O (0.500, 0.750, 0.000)
O (0.750, 0.000, 0.500)

Top 10 peaks for 2θ from 10° to 90°, low angle first:
2theta, I_rel
22.47, 100
31.99, 20
35.89, 75
39.45, 42
51.66, 18
57.02, 38
59.57, 17
62.07, 19
66.89, 16
78.31, 15

2.
Computed X-ray powder pattern of CoO3 for copper Kα, from a crystal structure in OQMD, relaxed with GGA+U.
Intensities are scaled so that the largest is 100.

Structure:
a = 4.755 Å, b = 4.755 Å, c = 8.427 Å
α = 94.42°, β = 94.42°, γ = 120.08°
Fractional coordinates of all 16 atoms:
Co (0.000, 0.000, 0.000)
Co (0.167, 0.833, 0.500)
Co (0.667, 0.333, 0.000)
Co (0.834, 0.166, 0.500)
O (0.012, 0.699, 0.115)
O (0.114, 0.114, 0.384)
O (0.178, 0.532, 0.616)
O (0.301, 0.988, 0.885)
O (0.367, 0.346, 0.115)
O (0.468, 0.822, 0.384)
O (0.532, 0.177, 0.616)
O (0.654, 0.633, 0.885)
O (0.724, 0.056, 0.117)
O (0.823, 0.468, 0.384)
O (0.886, 0.886, 0.616)
O (0.944, 0.276, 0.883)

Top 10 peaks for 2θ from 10° to 90°, low angle first:
2theta, I_rel
21.34, 100
21.80, 37
24.10, 27
28.51, 16
38.36, 15
38.68, 34
47.31, 29
48.52, 50
68.43, 15
71.80, 18

3.
Computed X-ray powder pattern of Co2O5 for copper Kα, from a crystal structure in OQMD, relaxed with GGA+U.
Intensities are scaled so that the largest is 100.

Structure:
a = 4.459 Å, b = 4.761 Å, c = 4.771 Å
α = 61.47°, β = 67.02°, γ = 79.29°
Fractional coordinates of all 7 atoms:
Co (0.000, 0.000, 0.000)
Co (0.004, 0.634, 0.636)
O (0.195, 0.713, 0.852)
O (0.235, 0.314, 0.587)
O (0.235, 0.964, 0.232)
O (0.746, 0.325, 0.017)
O (0.753, 0.704, 0.400)

Top 10 peaks for 2θ from 10° to 90°, low angle first:
2theta, I_rel
21.24, 17
21.65, 100
23.10, 54
25.32, 19
25.75, 33
37.80, 18
38.67, 17
47.37, 22
48.08, 23
48.79, 23

4.
Computed X-ray powder pattern of CoOsO3 for copper Kα, from a crystal structure in OQMD, relaxed with GGA+U.
Intensities are scaled so that the largest is 100.

Structure:
a = 5.369 Å, b = 5.369 Å, c = 5.369 Å
α = 58.43°, β = 58.43°, γ = 58.43°
Fractional coordinates of all 10 atoms:
Co (0.250, 0.250, 0.250)
Co (0.750, 0.750, 0.750)
Os (0.000, 0.000, 0.000)
Os (0.500, 0.500, 0.500)
O (0.117, 0.750, 0.383)
O (0.250, 0.617, 0.883)
O (0.383, 0.117, 0.750)
O (0.617, 0.883, 0.250)
O (0.750, 0.383, 0.117)
O (0.883, 0.250, 0.617)

Top 10 peaks for 2θ from 10° to 90°, low angle first:
2theta, I_rel
23.73, 66
33.39, 100
34.22, 80
48.56, 40
54.18, 19
59.16, 19
60.74, 37
61.27, 23
80.41, 17
81.80, 15

5.
Computed X-ray powder pattern of SrCo3Os4O12 for copper Kα, from a crystal structure in OQMD, relaxed with GGA+U.
Intensities are scaled so that the largest is 100.

Structure:
a = 6.538 Å, b = 6.538 Å, c = 6.538 Å
α = 109.47°, β = 109.47°, γ = 109.47°
Fractional coordinates of all 20 atoms:
Sr (0.000, 0.000, 0.000)
Co (0.000, 0.500, 0.500)
Co (0.500, 0.000, 0.500)
Co (0.500, 0.500, 0.000)
Os (0.000, 0.000, 0.500)
Os (0.000, 0.500, 0.000)
Os (0.500, 0.000, 0.000)
Os (0.500, 0.500, 0.500)
O (0.131, 0.820, 0.311)
O (0.180, 0.311, 0.491)
O (0.180, 0.689, 0.869)
O (0.311, 0.131, 0.820)
O (0.311, 0.491, 0.180)
O (0.491, 0.180, 0.311)
O (0.509, 0.820, 0.689)
O (0.689, 0.509, 0.820)
O (0.689, 0.869, 0.180)
O (0.820, 0.311, 0.131)
O (0.820, 0.689, 0.509)
O (0.869, 0.180, 0.689)

Top 10 peaks for 2θ from 10° to 90°, low angle first:
2theta, I_rel
23.57, 32
33.58, 100
41.43, 6
48.22, 23
54.35, 15
60.04, 45
70.57, 13
75.57, 6
80.46, 18
85.28, 4

6.
Computed X-ray powder pattern of RbCoP3O9 for copper Kα, from a crystal structure in OQMD, relaxed with GGA+U.
Intensities are scaled so that the largest is 100.

Structure:
a = 6.242 Å, b = 6.242 Å, c = 6.242 Å
α = 107.11°, β = 107.11°, γ = 107.11°
Fractional coordinates of all 14 atoms:
Rb (0.000, 0.000, 0.000)
Co (0.507, 0.507, 0.507)
P (0.399, 0.980, 0.528)
P (0.528, 0.399, 0.980)
P (0.980, 0.528, 0.399)
O (0.124, 0.768, 0.360)
O (0.140, 0.396, 0.451)
O (0.360, 0.124, 0.768)
O (0.396, 0.451, 0.140)
O (0.451, 0.140, 0.396)
O (0.576, 0.872, 0.605)
O (0.605, 0.576, 0.872)
O (0.768, 0.360, 0.124)
O (0.872, 0.605, 0.576)

Top 10 peaks for 2θ from 10° to 90°, low angle first:
2theta, I_rel
17.66, 100
24.16, 44
30.85, 29
33.04, 55
35.77, 20
37.71, 26
39.56, 16
45.83, 33
57.19, 13
67.23, 15